Record 1
# AcPb3Au
Simulated X-ray powder pattern, Cu Ka. Input: DFT lattice parameters and positions (GGA-PBE).

a = 14.8800 Å, b = 14.8800 Å, c = 4.5913 Å
α = 90.00°, β = 90.00°, γ = 161.68°
Atoms (fractional coordinates):
Ac  0.1647  0.8353  0.0000
Ac  0.8353  0.1647  0.0000
Pb  0.0578  0.9422  0.5000
Pb  0.2811  0.7189  0.5000
Pb  0.4435  0.5565  0.0000
Pb  0.5565  0.4435  0.0000
Pb  0.7189  0.2811  0.5000
Pb  0.9422  0.0578  0.5000
Au  0.3773  0.6227  0.5000
Au  0.6227  0.3773  0.5000

Top 8 peaks for 2θ from 5° to 70°, by angle:
two_theta	intensity
28.6	100
31.1	16
33.3	26
34.6	20
38.0	29
38.8	31
39.2	27
55.8	20

***

Record 2
# Y4SiPbSe2
Simulated X-ray powder pattern, Cu Ka. Input: DFT lattice parameters and positions (GGA-PBE).

a = 7.3223 Å, b = 4.1456 Å, c = 7.3499 Å
α = 90.00°, β = 109.00°, γ = 90.00°
Atoms (fractional coordinates):
Y  0.2409  0.0000  0.2351
Y  0.2526  0.5000  0.7661
Y  0.7474  0.5000  0.2339
Y  0.7591  0.0000  0.7649
Si  0.0000  0.5000  0.0000
Pb  0.0000  0.0000  0.5000
Se  0.5000  0.0000  0.0000
Se  0.5000  0.5000  0.5000

Top 8 peaks for 2θ from 5° to 70°, by angle:
two_theta	intensity
12.8	15
29.9	51
30.1	100
42.4	19
42.9	37
43.0	37
43.7	18
53.8	19

***

Record 3
# Nd2DyAu2
Simulated X-ray powder pattern, Cu Ka. Input: DFT lattice parameters and positions (GGA-PBE).

a = 8.3324 Å, b = 8.3324 Å, c = 3.9227 Å
α = 90.00°, β = 90.00°, γ = 90.00°
Atoms (fractional coordinates):
Nd  0.1661  0.3339  0.0000
Nd  0.3339  0.8339  0.0000
Nd  0.6661  0.1661  0.0000
Nd  0.8339  0.6661  0.0000
Dy  0.0000  0.0000  0.5000
Dy  0.5000  0.5000  0.5000
Au  0.1304  0.6304  0.5000
Au  0.3696  0.1304  0.5000
Au  0.6304  0.8696  0.5000
Au  0.8696  0.3696  0.5000

Top 8 peaks for 2θ from 5° to 70°, by angle:
two_theta	intensity
31.3	17
33.2	100
34.0	48
41.3	11
45.6	10
46.3	19
58.7	20
64.8	17

***

Record 4
# CrHg2W
Simulated X-ray powder pattern, Cu Ka. Input: DFT lattice parameters and positions (GGA-PBE).

a = 9.5817 Å, b = 9.5817 Å, c = 9.5817 Å
α = 18.34°, β = 18.34°, γ = 18.34°
Atoms (fractional coordinates):
Cr  0.0000  0.0000  0.0000
Hg  0.5191  0.5191  0.5191
Hg  0.7503  0.7503  0.7503
W  0.2764  0.2764  0.2764

Top 8 peaks for 2θ from 5° to 70°, by angle:
two_theta	intensity
28.4	30
36.3	100
37.5	24
42.7	49
54.7	22
60.6	25
66.4	15
68.3	16

***

Record 5
# ThCu2Ni6
Simulated X-ray powder pattern, Cu Ka. Input: DFT lattice parameters and positions (GGA-PBE).

a = 7.3819 Å, b = 7.3819 Å, c = 7.3819 Å
α = 60.00°, β = 60.00°, γ = 60.00°
Atoms (fractional coordinates):
Th  0.1250  0.1250  0.1250
Th  0.8750  0.8750  0.8750
Cu  0.0000  0.5000  0.5000
Cu  0.5000  0.0000  0.5000
Cu  0.5000  0.5000  0.0000
Cu  0.5000  0.5000  0.5000
Ni  0.1176  0.1176  0.6324
Ni  0.1176  0.6324  0.1176
Ni  0.1176  0.6324  0.6324
Ni  0.3676  0.3676  0.8824
Ni  0.3676  0.8824  0.3676
Ni  0.3676  0.8824  0.8824
Ni  0.6324  0.1176  0.1176
Ni  0.6324  0.1176  0.6324
Ni  0.6324  0.6324  0.1176
Ni  0.8824  0.3676  0.3676
Ni  0.8824  0.3676  0.8824
Ni  0.8824  0.8824  0.3676

Top 8 peaks for 2θ from 5° to 70°, by angle:
two_theta	intensity
14.7	26
28.4	83
34.4	57
45.1	37
49.4	100
57.9	11
61.5	13
69.1	18